Structure and theoretical XRD peak list of La5Pr2Zn2Ga (the GGA-PBE geometry in Alexandria; Cu Ka).

Principal peaks in the range 10 to 90 degrees two-theta, in order of rising 2θ:
2θ 26.6, I 16.0, (2 0 1)
2θ 27.5, I 16.7, (2 1 1)
2θ 29.0, I 63.3, (4 1 0)
2θ 29.9, I 38.9, (3 3 0)
2θ 30.2, I 25.2, (2 2 1)
2θ 31.8, I 100.0, (3 1 1)
2θ 34.1, I 35.8, (3 2 1)
2θ 45.9, I 19.3, (0 0 2)
2θ 51.1, I 14.2, (6 2 1)
2θ 55.3, I 21.0, (4 1 2)

Structure:
```
data_La5Pr2Zn2Ga
_chemical_formula_sum 'La10 Pr4 Zn4 Ga2'
_space_group_name_H-M_alt 'P 1'
_space_group_IT_number 1
_space_group_name_Hall 'P 1'
_cell_length_a 12.6747
_cell_length_b 12.6747
_cell_length_c 3.9520
_cell_angle_alpha 90.00
_cell_angle_beta 90.00
_cell_angle_gamma 90.00
loop_
_atom_site_label
_atom_site_type_symbol
_atom_site_fract_x
_atom_site_fract_y
_atom_site_fract_z
_atom_site_occupancy
La1 La 0.0000 0.5000 0.0000 1
La2 La 0.0541 0.1948 0.0000 1
La3 La 0.1948 0.9459 0.0000 1
La4 La 0.3052 0.4459 0.0000 1
La5 La 0.4459 0.6948 0.0000 1
La6 La 0.5000 0.0000 0.0000 1
La7 La 0.5541 0.3052 0.0000 1
La8 La 0.6948 0.5541 0.0000 1
La9 La 0.8052 0.0541 0.0000 1
La10 La 0.9459 0.8052 0.0000 1
Pr1 Pr 0.1804 0.6804 0.5000 1
Pr2 Pr 0.3196 0.1804 0.5000 1
Pr3 Pr 0.6804 0.8196 0.5000 1
Pr4 Pr 0.8196 0.3196 0.5000 1
Zn1 Zn 0.1315 0.3685 0.5000 1
Zn2 Zn 0.3685 0.8685 0.5000 1
Zn3 Zn 0.6315 0.1315 0.5000 1
Zn4 Zn 0.8685 0.6315 0.5000 1
Ga1 Ga 0.0000 0.0000 0.5000 1
Ga2 Ga 0.5000 0.5000 0.5000 1
```